Structure and calculated powder diffractogram of KUCu2Se6 (a DFT-relaxed cell (GGA-PBE, Alexandria); copper Kα).
Intensities are scaled so that the largest is 100.

Most intense lines, 5 to 70 degrees two-theta, in order of falling intensity:
2θ 11.87, I 100; 2θ 27.97, I 17; 2θ 35.31, I 13; 2θ 29.36, I 11; 2θ 13.61, I 10; 2θ 32.38, I 9; 2θ 23.83, I 9; 2θ 37.99, I 7; 2θ 48.58, I 7; 2θ 38.07, I 6; 2θ 41.71, I 6; 2θ 52.06, I 6

Cell and atoms:
Unit cell a=9.6181 b=9.6181 c=9.1356 alpha=115.10 beta=115.10 gamma=85.10
Fractional coordinates of all 20 atoms:
K  0.1232  0.8768  0.7500
K  0.8768  0.1232  0.2500
U  0.2254  0.7746  0.2500
U  0.7746  0.2254  0.7500
Cu  0.1131  0.4084  0.9822
Cu  0.4084  0.1131  0.4822
Cu  0.5916  0.8869  0.5178
Cu  0.8869  0.5916  0.0178
Se  0.0247  0.2035  0.6872
Se  0.0567  0.6207  0.8913
Se  0.2035  0.0247  0.1872
Se  0.3419  0.4970  0.2618
Se  0.3793  0.9433  0.6087
Se  0.4970  0.3419  0.7618
Se  0.5030  0.6581  0.2382
Se  0.6207  0.0567  0.3913
Se  0.6581  0.5030  0.7382
Se  0.7965  0.9753  0.8128
Se  0.9433  0.3793  0.1087
Se  0.9753  0.7965  0.3128